Record 1
Bi2H2Rh3: theoretical X-ray diffraction stick pattern (a wavelength of 1.5418 Å), based on a structure optimized by DFT (GGA-PBE).
Peak positions follow from Bragg's law for the DFT cell and can differ from measured ones.

Principal peaks in the range 2θ from 10° to 90°, by angle:
d/Å  I_rel  index
3.534  16  2 0 -2
3.222  17  1 1 0
2.673  100  1 1 1
2.476  32  2 0 -3
2.313  39  4 0 -1
2.249  75  3 1 -2
1.753  18  0 2 0
1.637  15  1 1 3
1.397  16  4 2 -1
1.124  15  6 2 -4

Atomic structure:
abc: 9.4666 3.5061 7.4304
angles: 90.00 120.34 90.00
Space group C2/m (No. 12)
One atom of each set of equivalent atoms:
Bi: 0.0676 0.0000 0.3311
H: 0.2151 0.5000 0.0794
Rh: 0.0000 0.5000 0.0000
Rh: 0.2049 0.5000 0.8136


Record 2
BiH3Rh2: theoretical X-ray diffraction stick pattern (a wavelength of 1.5418 Å), based on a structure optimized by DFT (GGA-PBE).
Peak positions follow from Bragg's law for the DFT cell and can differ from measured ones.

Principal peaks in the range 2θ from 10° to 90°, by angle:
d/Å  I_rel  index
4.520  100  1 0 1
3.644  50  1 1 1
2.663  35  -1 1 1
2.487  89  0 0 2
2.428  54  1 2 1
2.370  73  2 0 0
2.316  34  1 2 0
2.260  56  2 0 2
2.237  73  1 -2 1
2.089  50  -1 2 1

Atomic structure:
abc: 5.2365 5.4864 5.5475
angles: 81.92 64.97 88.66
Space group P-1 (No. 2)
One atom of each set of equivalent atoms:
Bi: 0.2415 0.2150 0.2097
H: 0.1333 0.2486 0.7223
H: 0.2205 0.7750 0.9467
H: 0.4405 0.7013 0.4205
Rh: 0.1854 0.7088 0.2747
Rh: 0.2859 0.5294 0.7575